Computed X-ray diffraction stick pattern of Y5ScCd4 for a wavelength of 1.5418 Å, from a structure optimized by DFT (GGA-PBE).
Intensities are scaled so that the largest is 100.

Largest 8 diffraction maxima, most intense first, 10° ≤ 2θ ≤ 90°:
| 2θ (°) | d (Å) | I_rel | h k l |
| --- | --- | --- | --- |
| 33.24 | 2.696 | 100 | 1 0 5 |
| 34.34 | 2.612 | 47 | 1 1 0 |
| 60.80 | 1.523 | 33 | 2 1 5 |
| 58.67 | 1.573 | 17 | 1 1 10 |
| 49.35 | 1.847 | 16 | 2 0 0 |
| 69.78 | 1.348 | 10 | 2 0 10 |
| 46.04 | 1.971 | 9 | 0 0 10 |
| 82.59 | 1.168 | 9 | 3 1 0 |

Structural model:
Cell: 3.694 3.694 19.714 Å, 90.00 90.00 90.00°
Fractional positions:
Y (0.000, 0.000, 0.000)
Y (0.000, 0.000, 0.194)
Y (0.000, 0.000, 0.392)
Y (0.000, 0.000, 0.608)
Y (0.000, 0.000, 0.806)
Sc (0.500, 0.500, 0.500)
Cd (0.500, 0.500, 0.097)
Cd (0.500, 0.500, 0.293)
Cd (0.500, 0.500, 0.707)
Cd (0.500, 0.500, 0.903)